Structure and calculated PXRD pattern of K3FeC6N6 (a crystal structure in the Materials Project, relaxed with PBE; λ = 1.5418 Å (Cu Kα)).
Kinematic intensities with the Lorentz-polarization factor, no thermal factor.

Structural model:
```
K3FeC6N6
1.0
7.1121 0.0000 0.0000
0.0000 10.5380 0.0000
-2.4899 0.0000 8.0568
K Fe C N
6 2 12 12
Direct
0.0000 0.0000 0.0000 K
0.0000 0.5000 0.5000 K
0.4987 0.2281 0.8753 K
0.4987 0.2719 0.3753 K
0.5013 0.7281 0.6247 K
0.5013 0.7719 0.1247 K
0.0000 0.0000 0.5000 Fe
0.0000 0.5000 0.0000 Fe
0.1190 0.1641 0.5284 C
0.1190 0.3359 0.0284 C
0.1825 0.5517 0.2055 C
0.1833 0.5546 0.8873 C
0.1833 0.9454 0.3873 C
0.1825 0.9483 0.7055 C
0.8175 0.0517 0.2945 C
0.8167 0.0546 0.6127 C
0.8167 0.4454 0.1127 C
0.8175 0.4483 0.7945 C
0.8810 0.6641 0.9716 C
0.8810 0.8359 0.4716 C
0.1976 0.2362 0.0479 N
0.1976 0.2638 0.5479 N
0.2931 0.5828 0.3335 N
0.2931 0.9172 0.8335 N
0.2939 0.5886 0.8161 N
0.2939 0.9114 0.3161 N
0.7061 0.0886 0.6839 N
0.7061 0.4114 0.1839 N
0.7069 0.0828 0.1665 N
0.7069 0.4172 0.6665 N
0.8024 0.7362 0.4521 N
0.8024 0.7638 0.9521 N
```

Principal peaks in the range 5° ≤ 2θ ≤ 70°, low angle first:
hkl 0 1 1, 13.8 deg, intensity 17
hkl 1 1 -1, 16.7 deg, intensity 17
hkl 1 2 0, 21.3 deg, intensity 100
hkl 0 0 2, 22.1 deg, intensity 28
hkl 1 3 0, 28.6 deg, intensity 22
hkl 1 0 2, 28.9 deg, intensity 40
hkl 2 1 -2, 30.2 deg, intensity 57
hkl 2 2 -2, 33.7 deg, intensity 34
hkl 0 3 2, 33.9 deg, intensity 25
hkl 1 4 -2, 40.9 deg, intensity 17
hkl 3 2 -2, 43.2 deg, intensity 20
hkl 3 2 0, 43.5 deg, intensity 31